Entry 1:
Simulated X-ray powder pattern of ErSc2O4 for Cu Kα, from a structure optimized by DFT (PBE).
Lines closer than 0.1° are merged.

The 6 most intense peaks (15° ≤ 2θ ≤ 90°), in order of rising 2θ:
17.17°, d 5.163, I 24, hkl 0 0 2; 19.14°, d 4.638, I 60, hkl 0 2 1; 31.15°, d 2.871, I 100, hkl 0 2 3; 34.61°, d 2.592, I 46, hkl 0 4 0; 39.84°, d 2.262, I 46, hkl 1 3 1; 42.73°, d 2.116, I 32, hkl 1 3 2

Structural model:
Cell: 3.1258 10.3826 10.3266 Å, 90.00 90.00 90.00°
Space group Cmcm (No. 63)
Symmetry-distinct sites (fractional):
Er1 0.0000 0.1218 0.2500 x4
Sc1 0.0000 0.3720 0.0693 x8
O1 0.0000 0.0000 0.0000 x4
O2 0.0000 0.2750 0.6163 x8
O3 0.0000 0.4653 0.2500 x4

Entry 2:
Simulated X-ray powder pattern of ErSc2TcO for Cu Kα, from a structure optimized by DFT (PBE).
Lines closer than 0.1° are merged.

The 6 most intense peaks (15° ≤ 2θ ≤ 90°), in order of rising 2θ:
18.08°, d 4.906, I 28, hkl 0 0 1; 29.56°, d 3.021, I 27, hkl 1 1 0; 34.87°, d 2.573, I 100, hkl 1 1 1; 42.30°, d 2.137, I 37, hkl 2 0 0; 57.17°, d 1.611, I 23, hkl 2 0 2; 72.57°, d 1.303, I 23, hkl 3 1 1

Structural model:
Cell: 4.2730 4.2730 4.9062 Å, 90.00 90.00 90.00°
Space group P4mm (No. 99)
Symmetry-distinct sites (fractional):
Er1 0.0000 0.0000 0.0000 x1
Sc1 0.0000 0.5000 0.4785 x2
Tc1 0.5000 0.5000 0.0773 x1
O1 0.0000 0.0000 0.5266 x1

Entry 3:
Simulated X-ray powder pattern of Er2SeO for Cu Kα, from a structure optimized by DFT (PBE).
Lines closer than 0.1° are merged.

The 6 most intense peaks (15° ≤ 2θ ≤ 90°), in order of rising 2θ:
26.77°, d 3.331, I 26, hkl 0 2 1; 30.11°, d 2.968, I 100, hkl 1 0 1; 34.19°, d 2.623, I 36, hkl 0 3 1; 36.73°, d 2.447, I 27, hkl 1 3 0; 38.59°, d 2.333, I 23, hkl 0 0 2; 54.33°, d 1.689, I 21, hkl 1 3 2

Structural model:
Cell: 3.8474 9.5122 4.6661 Å, 90.00 90.00 90.00°
Space group Pmn2_1 (No. 31)
Symmetry-distinct sites (fractional):
Er1 0.0000 0.0827 0.0000 x2
Er2 0.0000 0.6878 0.9777 x2
Se1 0.0000 0.3802 0.0011 x2
O1 0.0000 0.8931 0.7377 x2

Entry 4:
Simulated X-ray powder pattern of Er3Se3O for Cu Kα, from a structure optimized by DFT (PBE).
Lines closer than 0.1° are merged.

The 6 most intense peaks (15° ≤ 2θ ≤ 90°), in order of rising 2θ:
23.66°, d 3.760, I 100, hkl 0 4 0; 31.47°, d 2.842, I 74, hkl 3 1 0; 31.65°, d 2.827, I 71, hkl 0 0 2; 41.60°, d 2.171, I 65, hkl 2 6 0; 45.24°, d 2.005, I 55, hkl 3 1 2; 53.19°, d 1.722, I 63, hkl 2 6 2

Structural model:
Cell: 8.6894 15.0310 5.6548 Å, 90.00 90.00 90.00°
Space group Cmcm (No. 63)
Symmetry-distinct sites (fractional):
Er1 0.0000 0.1902 0.2500 x4
Er2 0.2139 0.4049 0.2500 x8
Se1 0.0000 0.1812 0.7500 x4
Se2 0.2272 0.4093 0.7500 x8
O1 0.0000 0.3331 0.2500 x4

Entry 5:
Simulated X-ray powder pattern of Er2SiSeO4 for Cu Kα, from a structure optimized by DFT (PBE).
Lines closer than 0.1° are merged.

The 6 most intense peaks (15° ≤ 2θ ≤ 90°), in order of rising 2θ:
21.23°, d 4.185, I 53, hkl 1 1 1; 22.13°, d 4.017, I 47, hkl 1 0 2; 30.70°, d 2.913, I 100, hkl 0 2 2; 33.22°, d 2.697, I 72, hkl 0 0 4; 33.52°, d 2.673, I 62, hkl 2 1 1; 36.57°, d 2.457, I 57, hkl 2 1 2

Structural model:
Cell: 6.0178 6.9205 10.7890 Å, 90.00 90.00 90.00°
Space group Pbcm (No. 57)
Symmetry-distinct sites (fractional):
Er1 0.1092 0.2500 0.0000 x4
Er2 0.3657 0.5268 0.2500 x4
Si1 0.3854 0.7500 0.0000 x4
Se1 0.0713 0.6335 0.7500 x4
O1 0.2211 0.5670 0.0313 x8
O2 0.4467 0.2413 0.6214 x8

Entry 6:
Simulated X-ray powder pattern of ErUSe2O for Cu Kα, from a structure optimized by DFT (PBE).
Lines closer than 0.1° are merged.

The 6 most intense peaks (15° ≤ 2θ ≤ 90°), in order of rising 2θ:
25.65°, d 3.473, I 34, hkl 0 0 4; 25.99°, d 3.429, I 64, hkl 1 0 2; 32.11°, d 2.788, I 100, hkl 1 1 0; 34.41°, d 2.606, I 55, hkl 1 0 4; 41.54°, d 2.174, I 46, hkl 1 1 4; 46.05°, d 1.971, I 43, hkl 2 0 0

Structural model:
Cell: 3.9426 3.9426 13.8915 Å, 90.00 90.00 90.00°
Space group P4/nmm (No. 129, origin choice 2)
Symmetry-distinct sites (fractional):
Er1 0.2500 0.2500 0.1022 x2
U1 0.2500 0.2500 0.5908 x2
Se1 0.2500 0.2500 0.3074 x2
Se2 0.2500 0.2500 0.8919 x2
O1 0.2500 0.7500 0.5000 x2

Entry 7:
Simulated X-ray powder pattern of SmEr2O for Cu Kα, from a structure optimized by DFT (PBE).
Lines closer than 0.1° are merged.

The 6 most intense peaks (15° ≤ 2θ ≤ 90°), in order of rising 2θ:
28.68°, d 3.112, I 48, hkl 0 0 9; 30.14°, d 2.965, I 100, hkl 1 0 1; 37.62°, d 2.391, I 38, hkl 1 0 7; 39.70°, d 2.270, I 81, hkl 0 1 8; 53.20°, d 1.722, I 36, hkl 1 1 0; 61.56°, d 1.507, I 34, hkl 1 1 9

Structural model:
Cell: 3.4434 3.4434 28.0101 Å, 90.00 90.00 120.00°
Space group R-3m (No. 166, hexagonal axes)
Symmetry-distinct sites (fractional):
Sm1 0.0000 0.0000 0.0000 x3
Er1 0.0000 0.0000 0.1200 x6
O1 0.0000 0.0000 0.5000 x3

Entry 8:
Simulated X-ray powder pattern of SmErO for Cu Kα, from a structure optimized by DFT (PBE).
Lines closer than 0.1° are merged.

The 6 most intense peaks (15° ≤ 2θ ≤ 90°), in order of rising 2θ:
30.26°, d 2.953, I 76, hkl 0 4 1; 30.92°, d 2.892, I 100, hkl 0 0 2; 32.55°, d 2.751, I 35, hkl 1 3 0; 45.49°, d 1.994, I 31, hkl 1 3 2; 56.26°, d 1.635, I 21, hkl 1 7 1; 62.48°, d 1.487, I 20, hkl 2 4 1

Structural model:
Cell: 3.4408 13.7350 5.7883 Å, 90.00 90.00 90.00°
Space group Cmc2_1 (No. 36)
Symmetry-distinct sites (fractional):
Sm1 0.0000 0.0519 0.0000 x4
Er1 0.0000 0.3120 0.9605 x4
O1 0.0000 0.4585 0.8040 x4

Entry 9:
Simulated X-ray powder pattern of SmErTe2O for Cu Kα, from a structure optimized by DFT (PBE).
Lines closer than 0.1° are merged.

The 6 most intense peaks (15° ≤ 2θ ≤ 90°), in order of rising 2θ:
27.36°, d 3.260, I 40, hkl 1 0 3; 30.30°, d 2.950, I 100, hkl 1 1 0; 35.83°, d 2.506, I 54, hkl 1 0 5; 38.19°, d 2.357, I 25, hkl 1 1 4; 43.39°, d 2.086, I 42, hkl 2 0 0; 57.48°, d 1.603, I 28, hkl 2 1 5

Structural model:
Cell: 4.1714 4.1714 15.6784 Å, 90.00 90.00 90.00°
Space group P4/nmm (No. 129, origin choice 2)
Symmetry-distinct sites (fractional):
Sm1 0.2500 0.2500 0.0692 x2
Er1 0.2500 0.2500 0.6296 x2
Te1 0.2500 0.2500 0.4158 x2
Te2 0.2500 0.2500 0.8106 x2
O1 0.2500 0.7500 0.0000 x2

Entry 10:
Simulated X-ray powder pattern of Er2SnO5 for Cu Kα, from a structure optimized by DFT (PBE).
Lines closer than 0.1° are merged.

The 6 most intense peaks (15° ≤ 2θ ≤ 90°), in order of rising 2θ:
29.31°, d 3.047, I 100, hkl 2 0 3; 29.50°, d 3.028, I 100, hkl 0 1 3; 33.94°, d 2.642, I 47, hkl 2 1 0; 49.05°, d 1.857, I 75, hkl 0 2 0; 57.79°, d 1.595, I 25, hkl 4 1 3; 58.12°, d 1.587, I 30, hkl 2 2 3

Structural model:
Cell: 7.5073 3.7183 15.6588 Å, 90.00 90.00 90.00°
Space group Pnma (No. 62)
Symmetry-distinct sites (fractional):
Er1 0.0975 0.2500 0.0888 x4
Er2 0.1329 0.2500 0.7408 x4
Sn1 0.1286 0.2500 0.4273 x4
O1 0.0878 0.7500 0.6556 x4
O2 0.0951 0.7500 0.4696 x4
O3 0.1068 0.7500 0.1805 x4
O4 0.1394 0.7500 0.0041 x4
O5 0.1876 0.7500 0.8297 x4

Entry 11:
Simulated X-ray powder pattern of Er3SnO6 for Cu Kα, from a structure optimized by DFT (PBE).
Lines closer than 0.1° are merged.

The 6 most intense peaks (15° ≤ 2θ ≤ 90°), in order of rising 2θ:
24.23°, d 3.674, I 36, hkl 0 0 3; 29.33°, d 3.045, I 100, hkl 2 1 1; 30.55°, d 2.926, I 37, hkl 1 1 3; 32.60°, d 2.747, I 69, hkl 3 -2 2; 43.53°, d 2.079, I 30, hkl 2 1 4; 49.85°, d 1.829, I 32, hkl 1 4 0

Structural model:
Cell: 9.6790 9.6790 11.0216 Å, 90.00 90.00 120.00°
Space group R-3 (No. 148, hexagonal axes)
Symmetry-distinct sites (fractional):
Er1 0.0412 0.2661 0.2062 x18
Sn1 0.0000 0.0000 0.0000 x3
Sn2 0.0000 0.0000 0.5000 x3
O1 0.0298 0.2422 0.4041 x18
O2 0.0307 0.1817 0.8792 x18

Entry 12:
Simulated X-ray powder pattern of Er2Sn2O7 for Cu Kα, from a structure optimized by DFT (PBE).
Lines closer than 0.1° are merged.

The 6 most intense peaks (15° ≤ 2θ ≤ 90°), in order of rising 2θ:
29.63°, d 3.015, I 100, hkl 2 2 2; 34.34°, d 2.611, I 34, hkl 4 0 0; 49.36°, d 1.846, I 48, hkl 4 4 0; 58.63°, d 1.575, I 45, hkl 6 2 2; 80.10°, d 1.198, I 19, hkl 6 6 2; 82.62°, d 1.168, I 15, hkl 8 4 0

Structural model:
Cell: 10.4451 10.4451 10.4451 Å, 90.00 90.00 90.00°
Space group Fd-3m (No. 227, origin choice 2)
Symmetry-distinct sites (fractional):
Er1 0.0000 0.0000 0.0000 x16
Sn1 0.0000 0.0000 0.5000 x16
O1 0.0906 0.3750 0.8750 x48
O2 0.1250 0.1250 0.1250 x8